[1]
For Li2CoO3, a crystal structure in the Materials Project, relaxed with GGA+U gives the computed PXRD pattern in this record (copper Kα).

Principal peaks in the range 2θ = 10–80°, most intense first:
(0 0 1), 2θ = 18.51°, I 1000
(3 1 1), 2θ = 43.00°, I 730
(2 0 0), 2θ = 12.48°, I 437
(3 1 0), 2θ = 35.66°, I 304
(4 0 0), 2θ = 25.13°, I 276
(6 0 -2), 2θ = 45.74°, I 273
(0 2 0), 2θ = 62.44°, I 193
(2 0 -1), 2θ = 19.22°, I 179
(3 1 -3), 2θ = 64.20°, I 167
(9 1 -1), 2θ = 64.95°, I 157

Structure:
```
data_Li2CoO3
_cell_length_a 14.774
_cell_length_b 2.974
_cell_length_c 4.994
_cell_angle_alpha 90.00
_cell_angle_beta 106.27
_cell_angle_gamma 90.00
_symmetry_space_group_name_H-M 'C 1 2/m 1'
_symmetry_Int_Tables_number 12
_symmetry_space_group_name_Hall '-C 2y'
loop_
_atom_site_label
_atom_site_fract_x
_atom_site_fract_y
_atom_site_fract_z
Li1 0.000 0.000 0.000
Li2 0.000 0.500 0.500
Li3 0.167 0.000 0.496
Co1 0.160 0.500 0.993
O1 0.090 0.000 0.763
O2 0.094 0.500 0.229
O3 0.249 0.500 0.784
```

[2]
For Li4CoO4, a crystal structure in the Materials Project, relaxed with GGA+U gives the computed PXRD pattern in this record (copper Kα).

Principal peaks in the range 2θ = 10–80°, most intense first:
(1 1 1), 2θ = 23.38°, I 1000
(2 0 0), 2θ = 20.15°, I 400
(3 1 1), 2θ = 37.30°, I 335
(2 2 1), 2θ = 34.30°, I 286
(2 2 0), 2θ = 28.64°, I 242
(3 3 1), 2θ = 47.69°, I 177
(0 4 2), 2θ = 56.64°, I 145
(1 3 3), 2θ = 67.46°, I 135
(0 2 2), 2θ = 42.89°, I 119
(4 4 0), 2θ = 59.30°, I 114

Structure:
```
data_Li4CoO4
_cell_length_a 8.802
_cell_length_b 8.829
_cell_length_c 4.803
_cell_angle_alpha 90.00
_cell_angle_beta 90.00
_cell_angle_gamma 90.00
_symmetry_space_group_name_H-M 'C 2 2 2'
_symmetry_Int_Tables_number 21
_symmetry_space_group_name_Hall 'C 2 2'
loop_
_atom_site_label
_atom_site_fract_x
_atom_site_fract_y
_atom_site_fract_z
Li1 0.000 0.198 0.000
Li2 0.198 0.500 0.500
Li3 0.250 0.250 0.435
Li4 0.250 0.250 0.935
Co1 0.000 0.000 0.500
Co2 0.000 0.500 0.000
O1 0.118 0.369 0.196
O2 0.131 0.118 0.695
```

[3]
For Li7Co2O6, a crystal structure in the Materials Project, relaxed with GGA+U gives the computed PXRD pattern in this record (copper Kα).

Principal peaks in the range 2θ = 10–80°, most intense first:
(0 0 1), 2θ = 17.51°, I 1000
(1 1 0), 2θ = 25.16°, I 605
(0 2 -1), 2θ = 32.02°, I 435
(1 1 -1), 2θ = 25.05°, I 406
(1 0 0), 2θ = 16.81°, I 356
(1 0 -1), 2θ = 24.15°, I 265
(0 0 2), 2θ = 35.46°, I 217
(2 0 0), 2θ = 34.00°, I 207
(2 -1 1), 2θ = 38.58°, I 207
(1 0 1), 2θ = 24.58°, I 201

Structure:
```
data_Li7Co2O6
_cell_length_a 5.277
_cell_length_b 5.592
_cell_length_c 5.762
_cell_angle_alpha 118.47
_cell_angle_beta 90.15
_cell_angle_gamma 91.52
_symmetry_space_group_name_H-M 'P 1'
_symmetry_Int_Tables_number 1
_symmetry_space_group_name_Hall 'P 1'
loop_
_atom_site_label
_atom_site_fract_x
_atom_site_fract_y
_atom_site_fract_z
Li1 0.000 0.000 0.000
Li2 0.015 0.513 0.800
Li3 0.060 0.451 0.371
Li4 0.353 0.705 0.145
Li5 0.433 0.195 0.202
Li6 0.753 0.390 0.012
Li7 0.834 0.913 0.376
Co1 0.286 0.095 0.675
Co2 0.579 0.704 0.686
O1 0.148 0.366 0.017
O2 0.164 0.068 0.344
O3 0.212 0.740 0.705
O4 0.652 0.059 0.710
O5 0.692 0.470 0.363
O6 0.701 0.736 0.003
```

[4]
For Li3Co4O8, a crystal structure in the Materials Project, relaxed with GGA+U gives the computed PXRD pattern in this record (copper Kα).

Principal peaks in the range 2θ = 10–80°, most intense first:
(1 0 1), 2θ = 18.84°, I 1000
(0 2 4), 2θ = 44.49°, I 794
(1 1 3), 2θ = 36.55°, I 349
(0 0 3), 2θ = 18.95°, I 235
(2 2 0), 2θ = 64.58°, I 213
(2 0 8), 2θ = 64.90°, I 211
(2 0 2), 2θ = 38.22°, I 162
(1 2 5), 2θ = 58.87°, I 161
(0 1 5), 2θ = 36.70°, I 137
(1 3 1), 2θ = 67.95°, I 82

Structure:
```
data_Li3Co4O8
_cell_length_a 5.7727
_cell_length_b 5.7727
_cell_length_c 14.0459
_cell_angle_alpha 90.00
_cell_angle_beta 90.00
_cell_angle_gamma 120.00
_symmetry_space_group_name_H-M 'R -3 m'
_symmetry_Int_Tables_number 166
_symmetry_space_group_name_Hall '-R 3 2"'
loop_
_atom_site_label
_atom_site_fract_x
_atom_site_fract_y
_atom_site_fract_z
Li1 0.0000 0.5000 0.0000
Co1 0.0000 0.0000 0.0000
Co2 0.0000 0.5000 0.5000
O1 0.0000 0.0000 0.2373
O2 0.0319 0.5159 0.7494
```

[5]
For Li5Co4O8, a crystal structure in the Materials Project, relaxed with GGA+U gives the computed PXRD pattern in this record (copper Kα).

Principal peaks in the range 2θ = 10–80°, most intense first:
(1 1 1), 2θ = 19.95°, I 1000
(0 2 -3), 2θ = 46.01°, I 972
(0 0 2), 2θ = 18.60°, I 680
(0 2 1), 2θ = 36.96°, I 636
(1 2 2), 2θ = 36.21°, I 560
(0 2 -5), 2θ = 60.93°, I 368
(2 2 -2), 2θ = 40.55°, I 358
(2 0 4), 2θ = 52.90°, I 338
(2 4 0), 2θ = 64.09°, I 326
(0 1 -2), 2θ = 25.74°, I 321

Structure:
```
data_Li5Co4O8
_cell_length_a 5.800
_cell_length_b 5.812
_cell_length_c 9.542
_cell_angle_alpha 89.95
_cell_angle_beta 89.93
_cell_angle_gamma 60.08
_symmetry_space_group_name_H-M 'P 1'
_symmetry_Int_Tables_number 1
_symmetry_space_group_name_Hall 'P 1'
loop_
_atom_site_label
_atom_site_fract_x
_atom_site_fract_y
_atom_site_fract_z
Li1 0.000 0.000 0.000
Li2 0.000 0.419 0.000
Li3 0.142 0.140 0.779
Li4 0.199 0.602 0.500
Li5 0.421 0.999 0.001
Li6 0.481 0.461 0.281
Li7 0.620 0.181 0.500
Li8 0.620 0.602 0.501
Li9 0.810 0.802 0.079
Li10 0.812 0.799 0.579
Co1 0.145 0.130 0.532
Co2 0.145 0.637 0.772
Co3 0.473 0.472 0.032
Co4 0.477 0.964 0.273
Co5 0.640 0.637 0.772
Co6 0.641 0.141 0.772
Co7 0.981 0.460 0.272
Co8 0.981 0.964 0.272
O1 0.139 0.634 0.158
O2 0.146 0.130 0.165
O3 0.302 0.285 0.389
O4 0.302 0.816 0.388
O5 0.318 0.316 0.888
O6 0.318 0.785 0.888
O7 0.476 0.471 0.665
O8 0.483 0.967 0.658
O9 0.648 0.125 0.159
O10 0.650 0.634 0.158
O11 0.786 0.317 0.888
O12 0.808 0.805 0.878
O13 0.813 0.796 0.378
O14 0.834 0.285 0.388
O15 0.972 0.967 0.658
O16 0.973 0.476 0.659
```

[6]
For Li4Co15O28, a crystal structure in the Materials Project, relaxed with GGA+U gives the computed PXRD pattern in this record (copper Kα).

Principal peaks in the range 2θ = 10–80°, most intense first:
(1 1 -1), 2θ = 17.93°, I 1000
(2 0 -4), 2θ = 44.04°, I 184
(2 -3 0), 2θ = 37.21°, I 182
(1 -4 1), 2θ = 44.43°, I 181
(3 0 1), 2θ = 44.54°, I 180
(4 -4 2), 2θ = 66.10°, I 97
(2 -1 2), 2θ = 37.29°, I 94
(1 -2 3), 2θ = 38.63°, I 80
(2 2 -2), 2θ = 36.32°, I 62
(3 1 -5), 2θ = 57.06°, I 52

Structure:
```
data_Li4Co15O28
_cell_length_a 7.698
_cell_length_b 8.173
_cell_length_c 8.720
_cell_angle_alpha 105.93
_cell_angle_beta 107.07
_cell_angle_gamma 101.90
_symmetry_space_group_name_H-M 'P -1'
_symmetry_Int_Tables_number 2
_symmetry_space_group_name_Hall '-P 1'
loop_
_atom_site_label
_atom_site_fract_x
_atom_site_fract_y
_atom_site_fract_z
Li1 0.057 0.227 0.284
Li2 0.353 0.070 0.425
Co1 0.000 0.000 0.500
Co2 0.068 0.711 0.288
Co3 0.140 0.428 0.072
Co4 0.209 0.139 0.856
Co5 0.283 0.855 0.643
Co6 0.361 0.574 0.428
Co7 0.429 0.286 0.215
Co8 0.500 0.000 0.000
Co9 0.500 0.500 0.000
O1 0.027 0.774 0.500
O2 0.051 0.946 0.295
O3 0.100 0.483 0.279
O4 0.114 0.653 0.080
O5 0.167 0.201 0.066
O6 0.199 0.373 0.868
O7 0.236 0.915 0.849
O8 0.259 0.083 0.651
O9 0.316 0.630 0.634
O10 0.335 0.807 0.439
O11 0.375 0.337 0.416
O12 0.407 0.512 0.212
O13 0.454 0.061 0.210
O14 0.472 0.233 0.006
```

[7]
For Li2CoO3, a crystal structure in the Materials Project, relaxed with GGA+U gives the computed PXRD pattern in this record (copper Kα).

Principal peaks in the range 2θ = 10–80°, most intense first:
(0 1 0), 2θ = 18.51°, I 1000
(0 0 1), 2θ = 12.29°, I 477
(-1 1 1), 2θ = 41.62°, I 408
(1 2 2), 2θ = 44.35°, I 326
(0 1 -3), 2θ = 45.80°, I 278
(1 0 -1), 2θ = 34.75°, I 196
(2 1 1), 2θ = 62.44°, I 193
(0 0 2), 2θ = 24.72°, I 174
(0 1 1), 2θ = 19.89°, I 154
(0 1 2), 2θ = 27.55°, I 150

Structure:
```
data_Li2CoO3
_cell_length_a 2.979
_cell_length_b 5.067
_cell_length_c 7.468
_cell_angle_alpha 75.75
_cell_angle_beta 81.15
_cell_angle_gamma 75.80
_symmetry_space_group_name_H-M 'P -1'
_symmetry_Int_Tables_number 2
_symmetry_space_group_name_Hall '-P 1'
loop_
_atom_site_label
_atom_site_fract_x
_atom_site_fract_y
_atom_site_fract_z
Li1 0.000 0.000 0.000
Li2 0.000 0.500 0.500
Li3 0.333 0.490 0.835
Co1 0.344 0.999 0.323
O1 0.015 0.769 0.258
O2 0.326 0.237 0.110
O3 0.346 0.783 0.570
```

[8]
For Li6CoO4, a crystal structure in the Materials Project, relaxed with GGA+U gives the computed PXRD pattern in this record (copper Kα).

Principal peaks in the range 2θ = 10–80°, most intense first:
(1 0 1), 2θ = 23.25°, I 1000
(2 1 1), 2θ = 35.96°, I 493
(1 1 0), 2θ = 19.03°, I 403
(2 0 1), 2θ = 33.20°, I 392
(2 2 2), 2θ = 55.54°, I 377
(3 0 1), 2θ = 45.56°, I 249
(2 0 0), 2θ = 27.05°, I 232
(4 0 0), 2θ = 55.77°, I 196
(1 1 2), 2θ = 43.12°, I 151
(2 1 3), 2θ = 67.75°, I 142

Structure:
```
data_Li6CoO4
_cell_length_a 6.594
_cell_length_b 6.594
_cell_length_c 4.698
_cell_angle_alpha 90.00
_cell_angle_beta 90.00
_cell_angle_gamma 90.00
_symmetry_space_group_name_H-M 'P 42/n m c'
_symmetry_Int_Tables_number 137
loop_
_symmetry_equiv_pos_as_xyz
'x,y,z'
'-x,-y,-z'
'-y+1/2,x,z+1/2'
'y+1/2,-x,-z+1/2'
'-x+1/2,-y+1/2,z'
'x+1/2,y+1/2,-z'
'y,-x+1/2,z+1/2'
'-y,x+1/2,-z+1/2'
'x+1/2,-y,-z'
'-x+1/2,y,z'
'-y,-x,-z+1/2'
'y,x,z+1/2'
'-x,y+1/2,-z'
'x,-y+1/2,z'
'y+1/2,x+1/2,-z+1/2'
'-y+1/2,-x+1/2,z+1/2'
loop_
_atom_site_label
_atom_site_fract_x
_atom_site_fract_y
_atom_site_fract_z
Li1 0.032 0.532 0.250
Li2 0.250 0.250 0.201
Co1 0.250 0.750 0.750
O1 0.013 0.250 0.463
```

[9]
For Li8Co5O10, a crystal structure in the Materials Project, relaxed with GGA+U gives the computed PXRD pattern in this record (copper Kα).

Principal peaks in the range 2θ = 10–80°, most intense first:
(0 1 4), 2θ = 25.82°, I 1000
(1 1 1), 2θ = 18.35°, I 414
(2 0 4), 2θ = 42.23°, I 156
(1 3 -1), 2θ = 42.41°, I 154
(-1 1 7), 2θ = 49.35°, I 101
(2 1 8), 2θ = 54.96°, I 72
(2 3 -4), 2θ = 55.02°, I 71
(3 0 1), 2θ = 56.28°, I 66
(1 4 3), 2θ = 56.59°, I 65
(1 1 11), 2θ = 65.69°, I 62

Structure:
```
data_Li8Co5O10
_cell_length_a 5.358
_cell_length_b 6.647
_cell_length_c 15.815
_cell_angle_alpha 82.00
_cell_angle_beta 83.31
_cell_angle_gamma 66.34
_symmetry_space_group_name_H-M 'P -1'
_symmetry_Int_Tables_number 2
_symmetry_space_group_name_Hall '-P 1'
loop_
_atom_site_label
_atom_site_fract_x
_atom_site_fract_y
_atom_site_fract_z
Li1 0.029 0.144 0.265
Li2 0.088 0.041 0.420
Li3 0.142 0.321 0.975
Li4 0.227 0.493 0.835
Li5 0.262 0.511 0.666
Li6 0.362 0.677 0.526
Li7 0.409 0.962 0.079
Li8 0.466 0.860 0.230
Co1 0.000 0.500 0.500
Co2 0.098 0.699 0.201
Co3 0.186 0.904 0.903
Co4 0.313 0.099 0.597
Co5 0.404 0.301 0.300
Co6 0.500 0.500 0.000
O1 0.004 0.215 0.519
O2 0.063 0.426 0.256
O3 0.126 0.983 0.169
O4 0.179 0.607 0.944
O5 0.239 0.187 0.863
O6 0.278 0.811 0.638
O7 0.321 0.393 0.555
O8 0.371 0.031 0.331
O9 0.465 0.549 0.253
O10 0.495 0.785 0.979
```